Starting from DFT lattice parameters and positions (PBE), the powder diffraction line list of CsBaMg6 was calculated for Cu Ka.

Structural model:
```
CsBaMg6
1.0
5.4572 0.0000 0.0000
0.0000 7.6731 0.0000
0.0000 0.0000 12.6393
Cs Ba Mg
2 2 12
Direct
0.0000 0.0000 0.0000
0.0000 0.5000 0.5000
0.5000 0.0000 0.8143
0.5000 0.5000 0.3143
0.0000 0.0000 0.4877
0.0000 0.2168 0.2429
0.0000 0.2832 0.7429
0.0000 0.5000 0.9877
0.0000 0.7168 0.7429
0.0000 0.7832 0.2429
0.5000 0.0000 0.3226
0.5000 0.2016 0.5686
0.5000 0.2984 0.0686
0.5000 0.5000 0.8226
0.5000 0.7016 0.0686
0.5000 0.7984 0.5686
```

Top 10 peaks for 2θ = 10–80°, by intensity:
2θ/deg  d [Å]  I_rel
31.84  2.811  100.0
13.50  6.559  71.7
32.78  2.732  65.4
21.18  4.195  41.5
29.20  3.059  40.6
21.51  4.130  37.2
49.36  1.846  25.4
23.18  3.837  20.9
40.54  2.225  19.5
28.24  3.160  18.2

---

Starting from DFT lattice parameters and positions (PBE), the powder diffraction line list of CsBaMg6 was calculated for Cu Ka.

Structural model:
```
CsBaMg6
1.0
5.1643 0.0000 0.0000
0.0000 7.2010 0.0000
0.0000 0.0000 14.8523
Cs Ba Mg
2 2 12
Direct
0.0000 0.0000 0.0000
0.0000 0.5000 0.5000
0.0000 0.0000 0.4893
0.0000 0.5000 0.9893
0.0000 0.2406 0.7399
0.0000 0.2594 0.2399
0.0000 0.7406 0.2399
0.0000 0.7594 0.7399
0.5000 0.0000 0.1862
0.5000 0.0000 0.6803
0.5000 0.2389 0.3540
0.5000 0.2611 0.8540
0.5000 0.5000 0.1803
0.5000 0.5000 0.6862
0.5000 0.7389 0.8540
0.5000 0.7611 0.3540
```

Top 10 peaks for 2θ = 10–80°, by intensity:
2θ/deg  d [Å]  I_rel
32.63  2.744  100.0
20.95  4.240  81.5
29.63  3.015  66.9
27.53  3.240  55.7
11.92  7.426  53.9
34.73  2.583  53.4
17.17  5.164  42.3
23.97  3.713  31.8
44.89  2.019  28.8
47.96  1.897  25.4

---

Starting from DFT lattice parameters and positions (PBE), the powder diffraction line list of CsBa2Nb3O10 was calculated for Cu Ka.

Structural model:
```
CsBa2Nb3O10
1.0
4.0291 0.0000 0.0000
0.0000 4.0291 0.0000
0.0000 0.0000 16.0699
Cs Ba Nb O
1 2 3 10
Direct
0.0000 0.0000 0.0000
0.0000 0.0000 0.3561
0.0000 0.0000 0.6439
0.5000 0.5000 0.2097
0.5000 0.5000 0.5000
0.5000 0.5000 0.7903
0.0000 0.5000 0.2343
0.0000 0.5000 0.5000
0.0000 0.5000 0.7657
0.5000 0.0000 0.2343
0.5000 0.0000 0.5000
0.5000 0.0000 0.7657
0.5000 0.5000 0.0985
0.5000 0.5000 0.3755
0.5000 0.5000 0.6245
0.5000 0.5000 0.9015
```

Top 10 peaks for 2θ = 10–80°, by intensity:
2θ/deg  d [Å]  I_rel
27.71  3.220  100.0
31.41  2.848  53.9
53.67  1.708  32.6
45.00  2.015  25.5
46.54  1.951  9.7
61.22  1.514  9.0
74.47  1.274  8.1
65.53  1.424  7.7
35.70  2.515  7.7
39.24  2.296  7.5

---

Starting from DFT lattice parameters and positions (PBE), the powder diffraction line list of CsBaO3 was calculated for Cu Ka.

Structural model:
```
CsBaO3
1.0
5.0308 0.0000 0.0000
0.0000 5.0308 0.0000
0.0000 0.0000 5.0308
Cs Ba O
1 1 3
Direct
0.0000 0.0000 0.0000
0.5000 0.5000 0.5000
0.0000 0.5000 0.5000
0.5000 0.0000 0.5000
0.5000 0.5000 0.0000
```

Top 10 peaks for 2θ = 10–80°, by intensity:
2θ/deg  d [Å]  I_rel
25.03  3.557  100.0
44.09  2.054  43.9
35.69  2.515  32.2
69.97  1.345  23.0
51.37  1.779  21.5
57.97  1.591  19.8
64.12  1.452  7.2
75.61  1.258  3.3
30.78  2.905  1.7
17.63  5.031  0.8

---

Starting from DFT lattice parameters and positions (PBE), the powder diffraction line list of CsBaPS4 was calculated for Cu Ka.

Structural model:
```
CsBaPS4
1.0
11.9854 0.0000 0.0000
0.0000 6.9467 0.0000
0.0000 0.0000 10.2438
Cs Ba P S
4 4 4 16
Direct
0.0717 0.2500 0.1406
0.4283 0.7500 0.6406
0.5717 0.2500 0.3594
0.9283 0.7500 0.8594
0.1488 0.2500 0.5998
0.3512 0.7500 0.0998
0.6488 0.2500 0.9002
0.8512 0.7500 0.4002
0.1758 0.7500 0.3837
0.3242 0.2500 0.8837
0.6758 0.7500 0.1163
0.8242 0.2500 0.6163
0.0709 0.7500 0.2249
0.0875 0.7500 0.5563
0.2252 0.0092 0.8729
0.2252 0.4908 0.8729
0.2748 0.5092 0.3729
0.2748 0.9908 0.3729
0.4125 0.2500 0.0563
0.4291 0.2500 0.7249
0.5709 0.7500 0.2751
0.5875 0.7500 0.9437
0.7252 0.0092 0.6271
0.7252 0.4908 0.6271
0.7748 0.5092 0.1271
0.7748 0.9908 0.1271
0.9125 0.2500 0.4437
0.9291 0.2500 0.7751
```

Top 10 peaks for 2θ = 10–80°, by intensity:
2θ/deg  d [Å]  I_rel
22.81  3.898  100.0
28.33  3.150  66.2
32.02  2.795  60.5
25.65  3.473  52.7
19.56  4.538  47.1
35.35  2.539  28.6
40.44  2.230  27.9
21.42  4.149  27.0
31.09  2.877  26.2
43.55  2.078  24.3

---

Starting from DFT lattice parameters and positions (PBE), the powder diffraction line list of BaCu13 was calculated for Cu Ka.

Structural model:
```
BaCu13
1.0
0.0000 5.8567 5.8567
5.8567 0.0000 5.8567
5.8567 5.8567 0.0000
Ba Cu
2 26
Direct
0.2500 0.2500 0.2500
0.7500 0.7500 0.7500
0.0000 0.0000 0.0000
0.0646 0.2942 0.7058
0.0646 0.7058 0.9354
0.0646 0.9354 0.2942
0.2058 0.4354 0.7942
0.2058 0.5646 0.4354
0.2058 0.7942 0.5646
0.2942 0.0646 0.9354
0.2942 0.7058 0.0646
0.2942 0.9354 0.7058
0.4354 0.2058 0.5646
0.4354 0.5646 0.7942
0.4354 0.7942 0.2058
0.5000 0.5000 0.5000
0.5646 0.2058 0.7942
0.5646 0.4354 0.2058
0.5646 0.7942 0.4354
0.7058 0.0646 0.2942
0.7058 0.2942 0.9354
0.7058 0.9354 0.0646
0.7942 0.2058 0.4354
0.7942 0.4354 0.5646
0.7942 0.5646 0.2058
0.9354 0.0646 0.7058
0.9354 0.2942 0.0646
0.9354 0.7058 0.2942
```

Top 10 peaks for 2θ = 10–80°, by intensity:
2θ/deg  d [Å]  I_rel
45.83  1.980  100.0
37.62  2.391  69.9
34.24  2.619  35.4
46.52  1.952  17.7
49.20  1.852  17.0
59.01  1.565  15.3
56.67  1.624  12.0
65.74  1.420  11.6
73.68  1.286  9.9
54.26  1.691  8.8

---

Starting from DFT lattice parameters and positions (PBE), the powder diffraction line list of Ba2DyCu2HgO7 was calculated for Cu Ka.

Structural model:
```
Ba2DyCu2HgO7
1.0
3.8675 0.0000 0.0000
0.0000 3.8675 0.0000
0.0000 0.0000 12.9243
Ba Dy Cu Hg O
2 1 2 1 7
Direct
0.0000 0.0000 0.2035
0.0000 0.0000 0.7965
0.0000 0.0000 0.5000
0.5000 0.5000 0.3759
0.5000 0.5000 0.6241
0.5000 0.5000 0.0000
0.0000 0.0000 0.0000
0.0000 0.5000 0.3898
0.0000 0.5000 0.6102
0.5000 0.0000 0.3898
0.5000 0.0000 0.6102
0.5000 0.5000 0.1639
0.5000 0.5000 0.8361
```

Top 10 peaks for 2θ = 10–80°, by intensity:
2θ/deg  d [Å]  I_rel
31.08  2.878  100.0
32.75  2.735  65.6
57.41  1.605  36.1
46.99  1.934  32.2
26.87  3.319  20.1
24.02  3.705  17.4
43.35  2.087  16.0
55.12  1.666  13.8
54.20  1.692  12.9
34.70  2.585  12.5

---

Starting from DFT lattice parameters and positions (PBE), the powder diffraction line list of Ba2DyMgCu4O8 was calculated for Cu Ka.

Structural model:
```
Ba2DyMgCu4O8
1.0
3.8732 0.0000 0.0000
0.0000 4.0223 0.0000
-0.1673 0.0000 15.7701
Ba Dy Mg Cu O
2 1 1 4 8
Direct
0.0000 0.0000 0.0000
0.0341 0.0000 0.4534
0.9978 0.0000 0.2222
0.5546 0.5000 0.8304
0.0547 0.5000 0.7071
0.4928 0.5000 0.1201
0.5074 0.5000 0.3189
0.5463 0.5000 0.5816
0.0063 0.5000 0.2976
0.0467 0.5000 0.5821
0.0584 0.5000 0.8760
0.4927 0.0000 0.1162
0.5031 0.0000 0.3030
0.5379 0.5000 0.4621
0.5551 0.5000 0.7085
0.9920 0.5000 0.1164
```

Top 10 peaks for 2θ = 10–80°, by intensity:
2θ/deg  d [Å]  I_rel
32.58  2.748  100.0
32.08  2.790  83.9
31.78  2.816  82.4
36.19  2.482  55.3
22.82  3.898  51.9
32.23  2.778  46.2
45.08  2.011  43.3
46.92  1.936  35.2
36.55  2.458  25.3
22.96  3.873  23.7

---

Starting from DFT lattice parameters and positions (PBE), the powder diffraction line list of Ba2DyMgCu4O8 was calculated for Cu Ka.

Structural model:
```
Ba2DyMgCu4O8
1.0
3.9912 0.0000 0.0000
0.0000 3.7472 0.0000
-1.7818 0.0000 14.9117
Ba Dy Mg Cu O
2 1 1 4 8
Direct
0.1147 0.0000 0.2476
0.8853 0.0000 0.7524
0.0000 0.0000 0.0000
0.0000 0.0000 0.5000
0.3385 0.5000 0.5907
0.4484 0.5000 0.8922
0.5516 0.5000 0.1078
0.6615 0.5000 0.4093
0.0477 0.5000 0.0989
0.2049 0.5000 0.4474
0.3697 0.5000 0.7155
0.4545 0.0000 0.9044
0.5455 0.0000 0.0956
0.6303 0.5000 0.2845
0.7951 0.5000 0.5526
0.9523 0.5000 0.9011
```

Top 10 peaks for 2θ = 10–80°, by intensity:
2θ/deg  d [Å]  I_rel
32.92  2.721  100.0
33.92  2.643  87.9
30.92  2.892  39.4
57.60  1.600  31.1
45.46  1.995  27.0
34.95  2.568  26.4
48.59  1.874  26.3
30.47  2.934  25.9
24.49  3.634  17.0
57.03  1.615  16.4

---

Starting from DFT lattice parameters and positions (PBE), the powder diffraction line list of Ba2NdDyTi2Cu2O11 was calculated for Cu Ka.

Structural model:
```
Ba2NdDyTi2Cu2O11
1.0
3.9128 0.0000 0.0000
0.0000 3.9128 0.0000
0.0000 0.0000 16.0211
Ba Nd Dy Ti Cu O
2 1 1 2 2 11
Direct
0.0000 0.0000 0.2317
0.0000 0.0000 0.7683
0.0000 0.0000 0.5000
0.0000 0.0000 0.0000
0.5000 0.5000 0.3743
0.5000 0.5000 0.6257
0.5000 0.5000 0.1020
0.5000 0.5000 0.8980
0.0000 0.5000 0.0901
0.0000 0.5000 0.3875
0.0000 0.5000 0.6125
0.0000 0.5000 0.9099
0.5000 0.0000 0.0901
0.5000 0.0000 0.3875
0.5000 0.0000 0.6125
0.5000 0.0000 0.9099
0.5000 0.5000 0.2574
0.5000 0.5000 0.5000
0.5000 0.5000 0.7426
```

Top 10 peaks for 2θ = 10–80°, by intensity:
2θ/deg  d [Å]  I_rel
31.98  2.799  100.0
32.36  2.767  50.6
57.47  1.603  38.8
46.41  1.956  33.2
39.59  2.276  26.1
22.73  3.913  18.2
56.75  1.622  16.5
66.85  1.399  10.9
76.88  1.240  10.3
67.73  1.383  9.8

---

Starting from DFT lattice parameters and positions (PBE), the powder diffraction line list of Ba2DyCu3O7 was calculated for Cu Ka.

Structural model:
```
Ba2DyCu3O7
1.0
3.8381 0.0000 0.0000
0.0000 3.9461 0.0000
0.0000 0.0000 11.7857
Ba Dy Cu O
2 1 3 7
Direct
0.0000 0.0000 0.1816
0.0000 0.0000 0.8184
0.0000 0.0000 0.5000
0.5000 0.5000 0.0000
0.5000 0.5000 0.3539
0.5000 0.5000 0.6461
0.0000 0.5000 0.3800
0.0000 0.5000 0.6200
0.5000 0.0000 0.0000
0.5000 0.0000 0.3788
0.5000 0.0000 0.6212
0.5000 0.5000 0.1607
0.5000 0.5000 0.8393
```

Top 10 peaks for 2θ = 10–80°, by intensity:
2θ/deg  d [Å]  I_rel
32.58  2.748  100.0
32.15  2.784  46.9
57.52  1.602  19.7
57.66  1.599  18.0
58.41  1.580  17.1
40.01  2.254  15.2
46.00  1.973  14.9
47.37  1.919  13.6
68.17  1.376  9.4
46.22  1.964  9.2